No. 1
Starting from a cell relaxed with PBE+U, the powder diffraction line list of KNaV4O12 was simulated for copper Kα.
No peak broadening, texture or thermal motion is included.

Unit cell a=5.3352 b=5.3352 c=7.5315 alpha=90.00 beta=90.00 gamma=90.00
Fractional positions:
K  0.0000  0.0000  0.0000
Na  0.5000  0.5000  0.5000
V  0.0000  0.5000  0.2514
V  0.0000  0.5000  0.7486
V  0.5000  0.0000  0.2514
V  0.5000  0.0000  0.7486
O  0.0000  0.5000  0.0000
O  0.0000  0.5000  0.5000
O  0.2521  0.2521  0.2545
O  0.2521  0.2521  0.7455
O  0.2521  0.7479  0.2545
O  0.2521  0.7479  0.7455
O  0.5000  0.0000  0.0000
O  0.5000  0.0000  0.5000
O  0.7479  0.2521  0.2545
O  0.7479  0.2521  0.7455
O  0.7479  0.7479  0.2545
O  0.7479  0.7479  0.7455

Peak list (8 most intense, 15° ≤ 2θ ≤ 90°, in order of rising 2θ)
d_spacing	I (rel.)
4.354	19
3.770	100
2.666	71
1.885	60
1.686	31
1.539	25
1.333	31
1.257	12



No. 2
Starting from a cell relaxed with PBE+U, the powder diffraction line list of Fe2PClO4 was simulated for copper Kα.
No peak broadening, texture or thermal motion is included.

Unit cell a=8.2493 b=8.3582 c=8.4672 alpha=112.29 beta=111.09 gamma=104.08
Fractional positions:
Fe  0.0000  0.0000  0.0000
Fe  0.0481  0.2731  0.7015
Fe  0.1043  0.6230  0.4795
Fe  0.2982  0.5523  0.2275
Fe  0.4950  0.4832  0.9787
Fe  0.5498  0.8285  0.7536
Fe  0.5978  0.1061  0.4588
Fe  0.8000  0.5521  0.7292
P  0.2815  0.7768  0.9674
P  0.3174  0.3293  0.4908
P  0.7736  0.7928  0.4836
P  0.8240  0.3119  0.9736
Cl  0.2345  0.2163  0.9657
Cl  0.3648  0.8890  0.4922
Cl  0.7333  0.7485  0.9981
Cl  0.8652  0.3563  0.4591
O  0.0190  0.4674  0.1676
O  0.0777  0.7735  0.9216
O  0.1561  0.1530  0.2975
O  0.2677  0.5841  0.9674
O  0.2875  0.3364  0.6648
O  0.3122  0.7710  0.7941
O  0.3300  0.5211  0.4891
O  0.4428  0.9524  0.1614
O  0.5213  0.3331  0.5366
O  0.5785  0.6388  0.2895
O  0.6523  0.3411  0.9815
O  0.7547  0.7749  0.6568
O  0.7982  0.1082  0.9404
O  0.8003  0.9975  0.5187
O  0.8421  0.3289  0.7998
O  0.9453  0.7638  0.4757

Peak list (8 most intense, 15° ≤ 2θ ≤ 90°, in order of rising 2θ)
d_spacing	I (rel.)
4.071	41
4.054	42
2.821	100
2.773	51
2.739	39
2.390	76
2.366	89
2.342	40



No. 3
Starting from a cell relaxed with PBE+U, the powder diffraction line list of Li9Mn2Co5O16 was simulated for copper Kα.
No peak broadening, texture or thermal motion is included.

Unit cell a=5.9164 b=6.4502 c=7.8873 alpha=88.81 beta=76.18 gamma=75.18
Fractional positions:
Li  0.0000  0.0000  0.0000
Li  0.0054  0.5007  0.4935
Li  0.1302  0.3756  0.1226
Li  0.2489  0.2508  0.7541
Li  0.3769  0.1282  0.3645
Li  0.5061  0.0012  0.0054
Li  0.6290  0.8746  0.6231
Li  0.7563  0.7582  0.2353
Li  0.8782  0.6322  0.8795
Mn  0.1331  0.8763  0.6239
Mn  0.7547  0.2543  0.7525
Co  0.2515  0.7516  0.2423
Co  0.3721  0.6288  0.8746
Co  0.5070  0.5049  0.4955
Co  0.6268  0.3751  0.1218
Co  0.8783  0.1259  0.3643
O  0.0612  0.1801  0.5768
O  0.0866  0.6833  0.0487
O  0.1801  0.0530  0.2004
O  0.1987  0.5758  0.6666
O  0.3009  0.9180  0.7952
O  0.3308  0.4540  0.3016
O  0.4331  0.8049  0.4451
O  0.4499  0.3189  0.9200
O  0.5538  0.6780  0.0690
O  0.5955  0.2079  0.5612
O  0.6753  0.5538  0.6970
O  0.6878  0.0860  0.1879
O  0.8060  0.4304  0.3223
O  0.8234  0.9507  0.7911
O  0.9063  0.3128  0.9276
O  0.9651  0.8298  0.4357

Peak list (8 most intense, 15° ≤ 2θ ≤ 90°, in order of rising 2θ)
d_spacing	I (rel.)
4.806	100
2.565	18
2.442	24
2.149	31
2.026	26
2.026	25
1.569	9
1.476	15



No. 4
Starting from a cell relaxed with PBE+U, the powder diffraction line list of MgP2W2O9 was simulated for copper Kα.
No peak broadening, texture or thermal motion is included.

Unit cell a=15.0361 b=6.7067 c=7.1740 alpha=90.00 beta=90.00 gamma=90.00
Fractional positions:
Mg  0.2320  0.2500  0.0799
Mg  0.2680  0.7500  0.5799
Mg  0.7320  0.2500  0.4201
Mg  0.7680  0.7500  0.9201
P  0.0789  0.7500  0.6220
P  0.1914  0.7500  0.1002
P  0.3086  0.2500  0.6002
P  0.4211  0.2500  0.1220
P  0.5789  0.7500  0.8780
P  0.6914  0.7500  0.3998
P  0.8086  0.2500  0.8998
P  0.9211  0.2500  0.3780
W  0.0000  0.0000  0.0000
W  0.0000  0.5000  0.0000
W  0.1249  0.2500  0.6259
W  0.3751  0.7500  0.1259
W  0.5000  0.0000  0.5000
W  0.5000  0.5000  0.5000
W  0.6249  0.2500  0.8741
W  0.8751  0.7500  0.3741
O  0.0096  0.7500  0.4710
O  0.0297  0.7500  0.8153
O  0.0646  0.2500  0.8850
O  0.1375  0.5517  0.1002
O  0.1375  0.9483  0.1002
O  0.1447  0.5716  0.6136
O  0.1447  0.9284  0.6136
O  0.2412  0.2500  0.4322
O  0.2491  0.2500  0.7809
O  0.2509  0.7500  0.2809
O  0.2588  0.7500  0.9322
O  0.3553  0.0716  0.1136
O  0.3553  0.4284  0.1136
O  0.3625  0.0517  0.6002
O  0.3625  0.4483  0.6002
O  0.4354  0.7500  0.3850
O  0.4703  0.2500  0.3153
O  0.4904  0.2500  0.9710
O  0.5096  0.7500  0.0290
O  0.5297  0.7500  0.6847
O  0.5646  0.2500  0.6150
O  0.6375  0.5517  0.3998
O  0.6375  0.9483  0.3998
O  0.6447  0.5716  0.8864
O  0.6447  0.9284  0.8864
O  0.7412  0.2500  0.0678
O  0.7491  0.2500  0.7191
O  0.7509  0.7500  0.2191
O  0.7588  0.7500  0.5678
O  0.8553  0.0716  0.3864
O  0.8553  0.4284  0.3864
O  0.8625  0.0517  0.8998
O  0.8625  0.4483  0.8998
O  0.9354  0.7500  0.1150
O  0.9703  0.2500  0.1847
O  0.9904  0.2500  0.5290

Peak list (8 most intense, 15° ≤ 2θ ≤ 90°, in order of rising 2θ)
d_spacing	I (rel.)
5.190	44
4.899	24
4.109	65
3.489	37
2.978	100
2.773	38
2.363	25
1.753	31



No. 5
Starting from a cell relaxed with PBE+U, the powder diffraction line list of Ba2MgFe4O8 was simulated for copper Kα.
No peak broadening, texture or thermal motion is included.

Unit cell a=5.5104 b=5.5104 c=10.4625 alpha=90.00 beta=90.00 gamma=120.00
Fractional positions:
Ba  0.0000  0.0000  0.1814
Ba  0.0000  0.0000  0.8186
Mg  0.0000  0.0000  0.5000
Fe  0.3333  0.6667  0.5729
Fe  0.3333  0.6667  0.9433
Fe  0.6667  0.3333  0.0567
Fe  0.6667  0.3333  0.4271
O  0.0000  0.3414  0.5000
O  0.0000  0.6754  0.0000
O  0.3246  0.3246  0.0000
O  0.3333  0.6667  0.7580
O  0.3414  0.0000  0.5000
O  0.6586  0.6586  0.5000
O  0.6667  0.3333  0.2420
O  0.6754  0.0000  0.0000

Peak list (8 most intense, 15° ≤ 2θ ≤ 90°, in order of rising 2θ)
d_spacing	I (rel.)
4.772	34
4.342	49
3.526	65
2.816	90
2.755	100
1.969	33
1.602	33
1.591	28



No. 6
Starting from a cell relaxed with PBE+U, the powder diffraction line list of Li2FePCO7 was simulated for copper Kα.
No peak broadening, texture or thermal motion is included.

Unit cell a=5.0855 b=8.4921 c=12.7972 alpha=96.40 beta=93.65 gamma=94.73
Fractional positions:
Li  0.0000  0.0000  0.0000
Li  0.0073  0.7414  0.3441
Li  0.4724  0.5756  0.9871
Li  0.5086  0.5738  0.4908
Li  0.5998  0.6022  0.7591
Li  0.8459  0.0462  0.7676
Li  0.8695  0.0942  0.2279
Li  0.9716  0.0669  0.5427
Fe  0.0177  0.4853  0.1497
Fe  0.0445  0.4764  0.6474
Fe  0.4094  0.1688  0.8911
Fe  0.4193  0.1621  0.3901
P  0.4825  0.2466  0.1463
P  0.5090  0.2451  0.6463
P  0.9401  0.3998  0.8918
P  0.9538  0.3962  0.3924
C  0.4674  0.8746  0.8881
C  0.5417  0.8808  0.4046
C  0.9037  0.7651  0.1340
C  0.9708  0.7647  0.6430
O  0.0493  0.2364  0.8566
O  0.0637  0.2360  0.3526
O  0.1060  0.4829  0.9910
O  0.1209  0.7263  0.1830
O  0.1229  0.4756  0.4927
O  0.2014  0.7139  0.6602
O  0.2355  0.9298  0.8820
O  0.2942  0.9102  0.3912
O  0.3370  0.1576  0.0436
O  0.3411  0.1661  0.5461
O  0.3580  0.4022  0.1777
O  0.4017  0.4081  0.6822
O  0.4733  0.1342  0.2349
O  0.4938  0.1380  0.7362
O  0.5051  0.7293  0.8839
O  0.6228  0.7443  0.4072
O  0.6445  0.3702  0.9180
O  0.6593  0.3648  0.4184
O  0.6681  0.9878  0.8979
O  0.7111  0.0098  0.4132
O  0.7339  0.6433  0.1015
O  0.7737  0.6476  0.6263
O  0.7840  0.2806  0.1309
O  0.8056  0.2705  0.6213
O  0.8680  0.9086  0.1220
O  0.9270  0.9094  0.6429
O  0.9464  0.5043  0.8002
O  0.9699  0.5124  0.3082

Peak list (8 most intense, 15° ≤ 2θ ≤ 90°, in order of rising 2θ)
d_spacing	I (rel.)
5.375	33
4.799	32
4.515	48
4.168	71
3.689	28
3.385	51
3.171	100
2.684	30



No. 7
Starting from a cell relaxed with PBE+U, the powder diffraction line list of AlV2O4 was simulated for copper Kα.
No peak broadening, texture or thermal motion is included.

Unit cell a=5.9100 b=5.9100 c=5.9100 alpha=60.92 beta=60.92 gamma=60.92
Fractional positions:
Al  0.1240  0.1240  0.1240
Al  0.8760  0.8760  0.8760
V  0.0000  0.5000  0.5000
V  0.5000  0.0000  0.5000
V  0.5000  0.5000  0.0000
V  0.5000  0.5000  0.5000
O  0.2467  0.2467  0.7512
O  0.2467  0.7512  0.2467
O  0.2489  0.2489  0.2489
O  0.2488  0.7533  0.7533
O  0.7512  0.2467  0.2467
O  0.7511  0.7511  0.7511
O  0.7533  0.2488  0.7533
O  0.7533  0.7533  0.2488

Peak list (8 most intense, 15° ≤ 2θ ≤ 90°, in order of rising 2θ)
d_spacing	I (rel.)
4.881	49
2.553	47
2.540	95
2.515	45
2.104	100
1.627	22
1.498	56
1.477	52



No. 8
Starting from a cell relaxed with PBE+U, the powder diffraction line list of Ba2MgVMoO6 was simulated for copper Kα.
No peak broadening, texture or thermal motion is included.

Unit cell a=6.4681 b=6.4681 c=6.4681 alpha=53.77 beta=53.77 gamma=53.77
Fractional positions:
Ba  0.0000  0.0000  0.0000
Ba  0.4611  0.4611  0.4611
Mg  0.8333  0.8333  0.8333
V  0.2058  0.2058  0.2058
Mo  0.6763  0.6763  0.6763
O  0.4345  0.4345  0.9345
O  0.4345  0.9345  0.4345
O  0.4477  0.9429  0.9429
O  0.9345  0.4345  0.4345
O  0.9429  0.4477  0.9429
O  0.9429  0.9429  0.4477

Peak list (8 most intense, 15° ≤ 2θ ≤ 90°, in order of rising 2θ)
d_spacing	I (rel.)
4.321	21
3.204	56
2.925	100
2.771	29
2.160	36
2.007	34
1.689	19
1.463	19